# BeCr2FeO6
Theoretical powder X-ray diffraction pattern, Cu Kα (weighted mean of Kα1 and Kα2). Input: a PBE+U-relaxed structure.

Atomic structure:
```
data_BeCr2FeO6
_chemical_formula_sum 'Be3 Cr6 Fe3 O18'
_symmetry_space_group_name_H-M 'R 3'
_symmetry_Int_Tables_number 146
_symmetry_space_group_name_Hall 'R 3'
_cell_length_a 4.8628
_cell_length_b 4.8628
_cell_length_c 13.8623
_cell_angle_alpha 90.00
_cell_angle_beta 90.00
_cell_angle_gamma 120.00
loop_
_atom_site_label
_atom_site_fract_x
_atom_site_fract_y
_atom_site_fract_z
Be1 0.0000 0.0000 0.0000
Cr1 0.0000 0.0000 0.2364
Cr2 0.0000 0.0000 0.7495
Fe1 0.0000 0.0000 0.4330
O1 0.0024 0.6601 0.4995
O2 0.0300 0.3434 0.0055
```

Main lines, by angle (2θ = 10–90°):
h k l  Position (°2θ)  intensity
0 0 3  19.21  40
1 0 1  22.06  45
0 1 2  24.74  75
1 0 4  33.49  98
1 1 0  36.97  72
1 1 3  41.99  65
0 2 4  50.73  32
1 1 6  54.81  100
3 -1 4  64.41  27
3 0 0  66.62  44